# K6Ge2O7
Theoretical XRD peak list, Cu Kα X-rays. Input: a PBE-relaxed structure.
Lines closer than 0.1° are merged.

Main lines, in order of rising 2θ (10° ≤ 2θ ≤ 90°):
- 2θ = 16.48°, intensity 47.7
- 2θ = 16.59°, intensity 32.3
- 2θ = 18.82°, intensity 28.9
- 2θ = 28.64°, intensity 35.0
- 2θ = 29.95°, intensity 23.9
- 2θ = 30.62°, intensity 100.0
- 2θ = 31.22°, intensity 44.3
- 2θ = 33.44°, intensity 78.8
- 2θ = 34.47°, intensity 44.8
- 2θ = 37.33°, intensity 42.7

abc: 6.6279 9.2085 11.3452
angles: 90.00 124.05 90.00
Space group Pc (No. 7)
Unique sites:
K  0.0000  0.0396  0.0000 x2
K  0.1920  0.2776  0.3184 x2
K  0.3540  0.1021  0.8536 x2
K  0.4516  0.4001  0.7035 x2
K  0.6110  0.2216  0.2375 x2
K  0.8045  0.4592  0.5558 x2
Ge  0.0894  0.3940  0.9083 x2
Ge  0.7166  0.1075  0.6479 x2
O  0.1552  0.3350  0.0747 x2
O  0.3536  0.4181  0.9071 x2
O  0.4579  0.0902  0.6558 x2
O  0.6429  0.1592  0.4781 x2
O  0.8928  0.4534  0.3437 x2
O  0.9096  0.2524  0.7739 x2
O  0.9108  0.0462  0.2143 x2